The following is a simulated PXRD pattern of Ac7Pm4Ho. It was derived from DFT lattice parameters and positions (GGA-PBE), using Cu Kα.
Intensities are scaled so that the largest is 100.

The 10 most intense peaks (2θ = 10–90°), sorted by position:
d [Å]	2theta	I_rel
3.322	26.83	39
3.109	28.71	50
3.019	29.59	100
2.880	31.06	59
2.857	31.31	29
1.936	46.93	13
1.808	50.49	15
1.720	53.27	13
1.645	55.91	24
1.632	56.36	13

Structure:
```
12
Lattice="6.708 0.000 0.000 0.019 7.709 0.000 2.203 0.069 9.328" Properties=species:S:1:pos:R:3 pbc="T T T"
Ac 0.000 0.000 0.000
Ac 2.222 3.881 3.102
Ac 3.363 5.859 6.206
Ac 5.527 1.995 9.281
Ac 3.404 5.784 0.046
Ac 5.567 1.920 3.121
Ac 6.709 3.898 6.226
Pm 2.224 0.031 3.132
Pm 3.310 1.962 6.248
Pm 5.620 5.816 3.080
Pm 6.707 7.748 6.195
Ho 0.010 3.855 0.000
```

---

The following is a simulated PXRD pattern of Ac4Pm2Ho. It was derived from DFT lattice parameters and positions (GGA-PBE), using Cu Kα.
Intensities are scaled so that the largest is 100.

The 10 most intense peaks (2θ = 10–90°), sorted by position:
d [Å]	2theta	I_rel
3.488	25.54	22
3.396	26.24	47
3.218	27.72	73
3.152	28.32	46
3.138	28.45	36
2.783	32.17	56
2.766	32.36	100
2.252	40.04	28
2.077	43.57	25
1.761	51.93	30

Structure:
```
14
Lattice="3.596 -6.435 0.000 3.596 6.435 0.000 -0.413 0.000 12.345" Properties=species:S:1:pos:R:3 pbc="T T T"
Ac 3.030 3.212 7.377
Ac 1.784 0.363 0.001
Ac 1.578 -0.363 6.174
Ac 3.541 3.212 11.140
Ac 3.237 -3.212 1.205
Ac 5.200 0.363 6.171
Ac 4.994 -0.363 12.343
Ac 3.748 -3.212 4.967
Pm 3.492 3.253 3.086
Pm 3.286 0.126 9.258
Pm 3.492 -0.126 3.086
Pm 3.286 -3.253 9.258
Ho 3.286 6.261 9.258
Ho 3.492 -6.261 3.086
```

---

- What is the formula in the second record?
  Ac4Pm2Ho